Record 1
Starting from DFT lattice parameters and positions (PBE), the powder XRD pattern of PmHoRu2 was calculated for CuKα.

Structure:
abc: 4.8637 4.8637 4.8637
angles: 60.00 60.00 60.00
Element x y z (fractional)
1 Pm 0.0000 0.0000 0.0000
2 Ho 0.5000 0.5000 0.5000
3 Ru 0.2500 0.2500 0.2500
4 Ru 0.7500 0.7500 0.7500

Top 6 peaks for 5 to 70 degrees two-theta, in order of rising 2θ:
| 2θ (°) | I (rel.) |
| --- | --- |
| 25.91 | 5 |
| 36.96 | 100 |
| 45.69 | 2 |
| 53.27 | 17 |
| 60.16 | 2 |
| 66.61 | 35 |


Record 2
Starting from DFT lattice parameters and positions (PBE), the powder XRD pattern of Na2U2O7 was calculated for CuKα.

Structure:
abc: 6.9282 7.9196 13.0816
angles: 90.00 110.69 90.00
Element x y z (fractional)
1 Na 0.0000 0.0000 0.0000
2 Na 0.0000 0.0000 0.5000
3 Na 0.0000 0.5000 0.0000
4 Na 0.0000 0.5000 0.5000
5 Na 0.4944 0.2458 0.4940
6 Na 0.4944 0.2542 0.9940
7 Na 0.5056 0.7458 0.0060
8 Na 0.5056 0.7542 0.5060
9 U 0.0093 0.2478 0.2482
10 U 0.0093 0.2522 0.7482
11 U 0.4635 0.0070 0.7437
12 U 0.4635 0.4930 0.2437
13 U 0.5365 0.5070 0.7563
14 U 0.5365 0.9930 0.2563
15 U 0.9907 0.7478 0.2518
16 U 0.9907 0.7522 0.7518
17 O 0.0861 0.7244 0.4057
18 O 0.0861 0.7756 0.9057
19 O 0.1088 0.2292 0.9021
20 O 0.1088 0.2708 0.4021
21 O 0.1200 0.5012 0.2299
22 O 0.1200 0.9988 0.7299
23 O 0.2993 0.6800 0.7623
24 O 0.2993 0.8200 0.2623
25 O 0.3376 0.2158 0.2586
26 O 0.3376 0.2842 0.7586
27 O 0.3643 0.0031 0.5895
28 O 0.3643 0.4969 0.0895
29 O 0.4331 0.5018 0.6036
30 O 0.4331 0.9982 0.1036
31 O 0.5669 0.0018 0.8964
32 O 0.5669 0.4982 0.3964
33 O 0.6357 0.5031 0.9105
34 O 0.6357 0.9969 0.4105
35 O 0.6624 0.7158 0.2414
36 O 0.6624 0.7842 0.7414
37 O 0.7007 0.1800 0.7377
38 O 0.7007 0.3200 0.2377
39 O 0.8800 0.0012 0.2701
40 O 0.8800 0.4988 0.7701
41 O 0.8912 0.7292 0.5979
42 O 0.8912 0.7708 0.0979
43 O 0.9139 0.2244 0.0943
44 O 0.9139 0.2756 0.5943

Top 8 peaks for 5 to 70 degrees two-theta, in order of rising 2θ:
| 2θ (°) | I (rel.) |
| --- | --- |
| 14.48 | 100 |
| 26.18 | 23 |
| 26.38 | 50 |
| 27.52 | 28 |
| 27.71 | 60 |
| 29.19 | 26 |
| 32.55 | 27 |
| 45.47 | 20 |


Record 3
Starting from DFT lattice parameters and positions (PBE), the powder XRD pattern of VIn3Se4 was calculated for CuKα.

Structure:
abc: 6.6929 6.6929 6.6929
angles: 109.47 109.47 109.47
Element x y z (fractional)
1 V 0.0000 0.0000 0.0000
2 In 0.0000 0.5000 0.5000
3 In 0.5000 0.0000 0.5000
4 In 0.5000 0.5000 0.0000
5 Se 0.0000 0.0000 0.3435
6 Se 0.0000 0.3435 0.0000
7 Se 0.3435 0.0000 0.0000
8 Se 0.6565 0.6565 0.6565

Top 8 peaks for 5 to 70 degrees two-theta, in order of rising 2θ:
| 2θ (°) | I (rel.) |
| --- | --- |
| 23.02 | 25 |
| 28.29 | 64 |
| 32.78 | 100 |
| 36.78 | 27 |
| 40.43 | 23 |
| 50.08 | 22 |
| 52.99 | 43 |
| 58.51 | 25 |